Sc4Cu2Hg5: calculated XRD peak list (Cu Ka), based on the PBE geometry in Alexandria.

```
Sc4Cu2Hg5
1.0
7.368 0.000 0.000
0.000 3.357 0.000
-0.553 0.000 9.196
Sc Cu Hg
4 2 5
direct
0.183 0.000 0.353 Sc
0.227 0.000 0.934 Sc
0.773 0.000 0.066 Sc
0.817 0.000 0.647 Sc
0.067 0.500 0.128 Cu
0.933 0.500 0.872 Cu
0.158 0.500 0.644 Hg
0.446 0.500 0.168 Hg
0.500 0.500 0.500 Hg
0.554 0.500 0.832 Hg
0.842 0.500 0.356 Hg
```

Largest 10 diffraction maxima, low angle first, 10 to 90 degrees two-theta:
Position (°2θ)  I/Imax
26.57  100.0
32.31  42.0
34.86  30.0
35.69  41.1
36.23  27.8
36.66  30.4
37.04  29.7
37.97  28.5
42.29  25.9
67.66  21.8